# 1
Diffraction record for BaTiWS6. The X-ray powder pattern is theoretical, not measured: it uses a PBE-relaxed structure and copper Kα.
Peak positions follow from Bragg's law for the DFT cell and can differ from measured ones.

a b c (Å): 6.306 6.306 6.505
angles (deg): 90.00 90.00 120.00
Element x y z (fractional)
1 Ba 0.000 0.000 0.000
2 Ti 0.333 0.667 0.387
3 W 0.667 0.333 0.436
4 S 0.366 0.003 0.612
5 S 0.484 0.474 0.167
6 S 0.526 0.011 0.167
7 S 0.637 0.634 0.612
8 S 0.989 0.516 0.167
9 S 0.997 0.363 0.612

Most intense lines, 10 to 90 degrees two-theta, by intensity:
| 2θ (°) | Rel. int. |
| --- | --- |
| 21.2 | 100 |
| 39.8 | 41 |
| 35.7 | 32 |
| 28.3 | 29 |
| 46.1 | 26 |
| 16.2 | 20 |
| 13.6 | 17 |
| 31.5 | 13 |



# 2
Diffraction record for Zn2Ni. The X-ray powder pattern is theoretical, not measured: it uses a PBE-relaxed structure and copper Kα.
Peak positions follow from Bragg's law for the DFT cell and can differ from measured ones.

a b c (Å): 4.965 4.965 6.215
angles (deg): 103.88 103.88 31.58
Element x y z (fractional)
1 Zn 0.000 0.000 0.000
2 Zn 0.056 0.056 0.593
3 Zn 0.373 0.373 0.286
4 Zn 0.723 0.723 0.929
5 Ni 0.336 0.336 0.668
6 Ni 0.658 0.658 0.322

Most intense lines, 10 to 90 degrees two-theta, by intensity:
| 2θ (°) | Rel. int. |
| --- | --- |
| 44.5 | 100 |
| 43.0 | 34 |
| 38.8 | 22 |
| 45.4 | 21 |
| 45.2 | 21 |
| 71.3 | 14 |
| 87.1 | 14 |
| 39.6 | 14 |



# 3
Diffraction record for AcAsPd3. The X-ray powder pattern is theoretical, not measured: it uses a PBE-relaxed structure and copper Kα.
Peak positions follow from Bragg's law for the DFT cell and can differ from measured ones.

a b c (Å): 6.305 6.305 6.305
angles (deg): 139.98 139.98 57.89
Element x y z (fractional)
1 Ac 0.000 0.000 0.000
2 As 0.635 0.635 0.000
3 Pd 0.250 0.750 0.500
4 Pd 0.411 0.411 0.000
5 Pd 0.750 0.250 0.500

Most intense lines, 10 to 90 degrees two-theta, by intensity:
| 2θ (°) | Rel. int. |
| --- | --- |
| 33.6 | 100 |
| 41.9 | 47 |
| 32.0 | 46 |
| 46.2 | 25 |
| 71.2 | 23 |
| 53.6 | 22 |
| 64.1 | 19 |
| 60.7 | 16 |



# 4
Diffraction record for K2LaAg. The X-ray powder pattern is theoretical, not measured: it uses a PBE-relaxed structure and copper Kα.
Peak positions follow from Bragg's law for the DFT cell and can differ from measured ones.

a b c (Å): 3.994 3.994 11.066
angles (deg): 90.00 90.00 90.00
Element x y z (fractional)
1 K 0.000 0.000 0.000
2 K 0.500 0.500 0.351
3 La 0.000 0.000 0.656
4 Ag 0.500 0.500 0.786

Most intense lines, 10 to 90 degrees two-theta, by intensity:
| 2θ (°) | Rel. int. |
| --- | --- |
| 27.5 | 100 |
| 31.7 | 66 |
| 33.1 | 64 |
| 32.7 | 41 |
| 39.6 | 34 |
| 53.9 | 29 |
| 16.0 | 26 |
| 57.3 | 25 |



# 5
Diffraction record for Li3PrBr6. The X-ray powder pattern is theoretical, not measured: it uses a PBE-relaxed structure and copper Kα.
Peak positions follow from Bragg's law for the DFT cell and can differ from measured ones.

a b c (Å): 7.919 7.968 7.970
angles (deg): 61.43 61.27 61.26
Element x y z (fractional)
1 Li 0.000 0.000 0.000
2 Li 0.000 0.000 0.500
3 Li 0.000 0.500 0.000
4 Pr 0.500 0.500 0.500
5 Br 0.220 0.270 0.778
6 Br 0.223 0.781 0.267
7 Br 0.230 0.758 0.758
8 Br 0.770 0.242 0.242
9 Br 0.777 0.219 0.733
10 Br 0.780 0.730 0.222

Most intense lines, 10 to 90 degrees two-theta, by intensity:
| 2θ (°) | Rel. int. |
| --- | --- |
| 15.6 | 100 |
| 31.5 | 77 |
| 27.0 | 20 |
| 35.1 | 18 |
| 13.8 | 17 |
| 45.6 | 17 |
| 35.6 | 17 |
| 44.8 | 16 |



# 6
Diffraction record for Dy3TmSc6. The X-ray powder pattern is theoretical, not measured: it uses a PBE-relaxed structure and copper Kα.
Peak positions follow from Bragg's law for the DFT cell and can differ from measured ones.

a b c (Å): 10.401 10.401 5.833
angles (deg): 90.00 90.00 119.53
Element x y z (fractional)
1 Dy 0.105 0.895 0.500
2 Dy 0.220 0.432 0.908
3 Dy 0.432 0.220 0.408
4 Dy 0.568 0.780 0.908
5 Dy 0.780 0.568 0.408
6 Dy 0.895 0.105 0.000
7 Tm 0.289 0.711 0.595
8 Tm 0.711 0.289 0.095
9 Sc 0.040 0.468 0.304
10 Sc 0.113 0.217 0.461
11 Sc 0.214 0.786 0.077
12 Sc 0.217 0.113 0.961
13 Sc 0.452 0.548 0.374
14 Sc 0.468 0.040 0.804
15 Sc 0.532 0.960 0.304
16 Sc 0.548 0.452 0.874
17 Sc 0.783 0.887 0.461
18 Sc 0.786 0.214 0.577
19 Sc 0.887 0.783 0.961
20 Sc 0.960 0.532 0.804

Most intense lines, 10 to 90 degrees two-theta, by intensity:
| 2θ (°) | Rel. int. |
| --- | --- |
| 18.1 | 100 |
| 33.4 | 81 |
| 33.6 | 70 |
| 30.2 | 69 |
| 35.9 | 47 |
| 36.7 | 35 |
| 30.4 | 32 |
| 35.2 | 29 |



# 7
Diffraction record for SmEr2Tm2Sc. The X-ray powder pattern is theoretical, not measured: it uses a PBE-relaxed structure and copper Kα.
Peak positions follow from Bragg's law for the DFT cell and can differ from measured ones.

a b c (Å): 6.488 17.170 3.316
angles (deg): 90.00 90.00 90.00
Element x y z (fractional)
1 Sm 0.000 0.000 0.000
2 Sm 0.500 0.500 0.500
3 Er 0.246 0.320 0.000
4 Er 0.254 0.820 0.500
5 Er 0.746 0.180 0.500
6 Er 0.754 0.680 0.000
7 Tm 0.246 0.148 0.500
8 Tm 0.254 0.648 0.000
9 Tm 0.746 0.352 0.000
10 Tm 0.754 0.852 0.500
11 Sc 0.000 0.500 0.000
12 Sc 0.500 0.000 0.500

Most intense lines, 10 to 90 degrees two-theta, by intensity:
| 2θ (°) | Rel. int. |
| --- | --- |
| 31.2 | 100 |
| 42.1 | 38 |
| 29.4 | 37 |
| 27.5 | 28 |
| 39.2 | 27 |
| 34.7 | 27 |
| 66.2 | 23 |
| 34.2 | 22 |



# 8
Diffraction record for Fe2NiN2. The X-ray powder pattern is theoretical, not measured: it uses a PBE-relaxed structure and copper Kα.
Peak positions follow from Bragg's law for the DFT cell and can differ from measured ones.

a b c (Å): 2.773 11.824 2.787
angles (deg): 90.00 90.00 90.00
Element x y z (fractional)
1 Fe 0.250 0.070 0.239
2 Fe 0.250 0.430 0.239
3 Fe 0.750 0.570 0.761
4 Fe 0.750 0.930 0.761
5 Ni 0.250 0.750 0.263
6 Ni 0.750 0.250 0.737
7 N 0.250 0.596 0.254
8 N 0.250 0.904 0.254
9 N 0.750 0.096 0.746
10 N 0.750 0.404 0.746

Most intense lines, 10 to 90 degrees two-theta, by intensity:
| 2θ (°) | Rel. int. |
| --- | --- |
| 46.2 | 100 |
| 39.6 | 88 |
| 39.7 | 88 |
| 67.3 | 62 |
| 46.1 | 43 |
| 81.0 | 34 |
| 81.3 | 20 |
| 67.6 | 14 |



# 9
Diffraction record for KAsSe. The X-ray powder pattern is theoretical, not measured: it uses a PBE-relaxed structure and copper Kα.
Peak positions follow from Bragg's law for the DFT cell and can differ from measured ones.

a b c (Å): 4.093 6.333 8.732
angles (deg): 71.20 76.45 71.50
Element x y z (fractional)
1 K 0.076 0.187 0.157
2 K 0.924 0.813 0.843
3 As 0.211 0.635 0.447
4 As 0.789 0.365 0.553
5 Se 0.356 0.620 0.169
6 Se 0.644 0.380 0.831

Most intense lines, 10 to 90 degrees two-theta, by intensity:
| 2θ (°) | Rel. int. |
| --- | --- |
| 15.3 | 100 |
| 33.3 | 56 |
| 24.2 | 56 |
| 33.5 | 55 |
| 24.1 | 53 |
| 32.9 | 51 |
| 16.2 | 41 |
| 29.9 | 35 |



# 10
Diffraction record for Y3Th5P8. The X-ray powder pattern is theoretical, not measured: it uses a PBE-relaxed structure and copper Kα.
Peak positions follow from Bragg's law for the DFT cell and can differ from measured ones.

a b c (Å): 8.181 8.181 8.181
angles (deg): 60.21 60.21 60.21
Element x y z (fractional)
1 Y 0.000 0.500 0.500
2 Y 0.500 0.000 0.500
3 Y 0.500 0.500 0.000
4 Th 0.000 0.000 0.000
5 Th 0.000 0.000 0.500
6 Th 0.000 0.500 0.000
7 Th 0.500 0.000 0.000
8 Th 0.500 0.500 0.500
9 P 0.250 0.250 0.745
10 P 0.250 0.745 0.250
11 P 0.252 0.252 0.252
12 P 0.255 0.750 0.750
13 P 0.745 0.250 0.250
14 P 0.748 0.748 0.748
15 P 0.750 0.255 0.750
16 P 0.750 0.750 0.255

Most intense lines, 10 to 90 degrees two-theta, by intensity:
| 2θ (°) | Rel. int. |
| --- | --- |
| 30.9 | 100 |
| 26.6 | 69 |
| 44.1 | 37 |
| 44.3 | 37 |
| 52.3 | 35 |
| 26.7 | 23 |
| 54.8 | 20 |
| 72.9 | 17 |



# 11
Diffraction record for Zr2TiH3. The X-ray powder pattern is theoretical, not measured: it uses a PBE-relaxed structure and copper Kα.
Peak positions follow from Bragg's law for the DFT cell and can differ from measured ones.

a b c (Å): 5.326 5.326 5.929
angles (deg): 105.98 105.98 57.73
Element x y z (fractional)
1 Zr 0.160 0.174 0.085
2 Zr 0.174 0.160 0.585
3 Zr 0.826 0.840 0.415
4 Zr 0.840 0.826 0.915
5 Ti 0.499 0.501 0.250
6 Ti 0.501 0.499 0.750
7 H 0.110 0.890 0.250
8 H 0.279 0.413 0.923
9 H 0.413 0.279 0.423
10 H 0.587 0.721 0.577
11 H 0.721 0.587 0.077
12 H 0.890 0.110 0.750

Most intense lines, 10 to 90 degrees two-theta, by intensity:
| 2θ (°) | Rel. int. |
| --- | --- |
| 34.9 | 100 |
| 35.1 | 65 |
| 62.6 | 29 |
| 74.0 | 21 |
| 43.2 | 19 |
| 43.3 | 19 |
| 73.8 | 17 |
| 56.7 | 16 |



# 12
Diffraction record for ScBeTl. The X-ray powder pattern is theoretical, not measured: it uses a PBE-relaxed structure and copper Kα.
Peak positions follow from Bragg's law for the DFT cell and can differ from measured ones.

a b c (Å): 5.551 5.551 5.551
angles (deg): 134.15 103.23 94.28
Element x y z (fractional)
1 Sc 0.000 0.000 0.000
2 Sc 0.512 0.012 0.500
3 Be 0.495 0.675 0.820
4 Be 0.855 0.675 0.180
5 Tl 0.101 0.338 0.763
6 Tl 0.576 0.338 0.237

Most intense lines, 10 to 90 degrees two-theta, by intensity:
| 2θ (°) | Rel. int. |
| --- | --- |
| 35.4 | 100 |
| 23.7 | 87 |
| 35.3 | 51 |
| 23.6 | 44 |
| 41.5 | 41 |
| 25.8 | 27 |
| 55.8 | 27 |
| 59.0 | 22 |



# 13
Diffraction record for La2NdDyTh. The X-ray powder pattern is theoretical, not measured: it uses a PBE-relaxed structure and copper Kα.
Peak positions follow from Bragg's law for the DFT cell and can differ from measured ones.

a b c (Å): 6.360 5.913 9.819
angles (deg): 90.00 108.88 90.00
Element x y z (fractional)
1 La 0.068 0.250 0.316
2 La 0.137 0.750 0.111
3 La 0.863 0.250 0.889
4 La 0.932 0.750 0.684
5 Nd 0.478 0.250 0.103
6 Nd 0.522 0.750 0.897
7 Dy 0.264 0.250 0.692
8 Dy 0.736 0.750 0.308
9 Th 0.356 0.750 0.507
10 Th 0.644 0.250 0.493

Most intense lines, 10 to 90 degrees two-theta, by intensity:
| 2θ (°) | Rel. int. |
| --- | --- |
| 31.7 | 100 |
| 32.0 | 53 |
| 30.2 | 39 |
| 27.8 | 26 |
| 59.1 | 22 |
| 54.6 | 21 |
| 49.5 | 19 |
| 41.5 | 18 |